# CeAg5Te4
Theoretical X-ray powder pattern, a wavelength of 1.5418 Å. Input: a DFT-relaxed cell (PBE, Alexandria).

Largest 8 diffraction maxima, by intensity, 10° ≤ 2θ ≤ 80°:
2θ/deg  I (rel.)  index
29.53  1000  1 2 1
42.07  830  1 2 5
23.82  388  0 0 4
39.20  357  2 0 0
39.77  294  1 3 2
20.77  193  0 1 3
36.06  175  0 0 6
37.82  157  1 3 0

Cell and atoms:
Cell lengths 4.596, 8.340, 14.943 Å; angles 90.00, 90.00, 90.00 degrees
Space group Immm (No. 71)
Asymmetric unit:
Ce 0.000 0.000 0.000 x2
Ag 0.000 0.300 0.316 x8
Ag 0.000 0.500 0.000 x2
Te 0.000 0.000 0.220 x4
Te 0.000 0.227 0.500 x4